# 1
Diffraction record for Cu2Te2Au. The XRD peak list is simulated, not measured: it uses DFT lattice parameters and positions (PBE) and CuKα.
Kinematic intensities with the Lorentz-polarization factor, no thermal factor.

Unit cell a=8.045 b=8.045 c=8.045 alpha=153.30 beta=153.30 gamma=38.11
Sites, in units of the cell vectors:
Cu (0.250, 0.750, 0.500)
Cu (0.750, 0.250, 0.500)
Te (0.124, 0.124, 0.000)
Te (0.876, 0.876, 0.000)
Au (0.500, 0.500, 0.000)

Largest 6 diffraction maxima, low angle first, 10° ≤ 2θ ≤ 90°:
| d [Å] | Rel. int. |
| --- | --- |
| 2.996 | 100 |
| 2.483 | 51 |
| 2.353 | 54 |
| 1.857 | 31 |
| 1.579 | 30 |
| 1.458 | 24 |

---

# 2
Diffraction record for Pm2Dy3Au2. The XRD peak list is simulated, not measured: it uses DFT lattice parameters and positions (PBE) and CuKα.
Kinematic intensities with the Lorentz-polarization factor, no thermal factor.

Unit cell a=6.699 b=6.699 c=9.227 alpha=115.49 beta=115.49 gamma=32.56
Sites, in units of the cell vectors:
Pm (0.151, 0.151, 0.313)
Pm (0.849, 0.849, 0.687)
Dy (0.386, 0.386, 0.054)
Dy (0.500, 0.500, 0.500)
Dy (0.614, 0.614, 0.946)
Au (0.166, 0.166, 0.733)
Au (0.834, 0.834, 0.267)

Largest 6 diffraction maxima, low angle first, 10° ≤ 2θ ≤ 90°:
| d [Å] | Rel. int. |
| --- | --- |
| 2.907 | 100 |
| 2.825 | 95 |
| 2.682 | 89 |
| 2.674 | 87 |
| 2.663 | 89 |
| 2.531 | 83 |

---

# 3
Diffraction record for KAg2Bi2. The XRD peak list is simulated, not measured: it uses DFT lattice parameters and positions (PBE) and CuKα.
Kinematic intensities with the Lorentz-polarization factor, no thermal factor.

Unit cell a=5.000 b=5.000 c=6.801 alpha=108.09 beta=108.09 gamma=92.55
Sites, in units of the cell vectors:
K (0.000, 0.000, 0.000)
Ag (0.205, 0.795, 0.500)
Ag (0.795, 0.205, 0.500)
Bi (0.405, 0.405, 0.745)
Bi (0.595, 0.595, 0.255)

Largest 6 diffraction maxima, low angle first, 10° ≤ 2θ ≤ 90°:
| d [Å] | Rel. int. |
| --- | --- |
| 6.076 | 46 |
| 4.695 | 71 |
| 4.540 | 71 |
| 3.074 | 100 |
| 2.495 | 100 |
| 2.325 | 70 |

---

# 4
Diffraction record for Pr4CuRh2. The XRD peak list is simulated, not measured: it uses DFT lattice parameters and positions (PBE) and CuKα.
Kinematic intensities with the Lorentz-polarization factor, no thermal factor.

Unit cell a=7.799 b=7.799 c=8.927 alpha=124.87 beta=124.87 gamma=70.93
Sites, in units of the cell vectors:
Pr (0.061, 0.061, 0.363)
Pr (0.062, 0.561, 0.863)
Pr (0.184, 0.438, 0.259)
Pr (0.439, 0.938, 0.137)
Pr (0.561, 0.315, 0.741)
Pr (0.562, 0.816, 0.741)
Pr (0.685, 0.439, 0.259)
Pr (0.939, 0.939, 0.637)
Cu (0.312, 0.189, 0.875)
Cu (0.811, 0.688, 0.125)
Rh (0.193, 0.570, 0.631)
Rh (0.430, 0.807, 0.369)
Rh (0.692, 0.308, 0.500)
Rh (0.930, 0.070, 0.000)

Largest 6 diffraction maxima, low angle first, 10° ≤ 2θ ≤ 90°:
| d [Å] | Rel. int. |
| --- | --- |
| 3.177 | 19 |
| 2.860 | 100 |
| 2.827 | 43 |
| 2.416 | 27 |
| 2.409 | 23 |
| 2.397 | 23 |

---

# 5
Diffraction record for Sr5MoN4Cl2. The XRD peak list is simulated, not measured: it uses DFT lattice parameters and positions (PBE) and CuKα.
Kinematic intensities with the Lorentz-polarization factor, no thermal factor.

Unit cell a=8.071 b=5.972 c=5.972 alpha=114.26 beta=90.00 gamma=90.00
Sites, in units of the cell vectors:
Sr (0.000, 0.000, 0.000)
Sr (0.298, 0.236, 0.587)
Sr (0.298, 0.587, 0.236)
Sr (0.702, 0.236, 0.587)
Sr (0.702, 0.587, 0.236)
Mo (0.500, 0.914, 0.914)
N (0.313, 0.094, 0.094)
N (0.500, 0.586, 0.903)
N (0.500, 0.903, 0.586)
N (0.687, 0.094, 0.094)
Cl (0.000, 0.467, 0.914)
Cl (0.000, 0.914, 0.467)

Largest 6 diffraction maxima, low angle first, 10° ≤ 2θ ≤ 90°:
| d [Å] | Rel. int. |
| --- | --- |
| 3.242 | 100 |
| 3.144 | 23 |
| 2.972 | 84 |
| 2.257 | 44 |
| 1.731 | 18 |
| 1.671 | 17 |

---

# 6
Diffraction record for SmHo7Tl5. The XRD peak list is simulated, not measured: it uses DFT lattice parameters and positions (PBE) and CuKα.
Kinematic intensities with the Lorentz-polarization factor, no thermal factor.

Unit cell a=8.317 b=8.317 c=8.317 alpha=134.04 beta=98.71 gamma=98.82
Sites, in units of the cell vectors:
Sm (0.000, 0.000, 0.000)
Ho (0.167, 0.471, 0.696)
Ho (0.212, 0.712, 0.500)
Ho (0.329, 0.987, 0.342)
Ho (0.345, 0.345, 0.000)
Ho (0.646, 0.987, 0.658)
Ho (0.660, 0.660, 0.000)
Ho (0.776, 0.471, 0.304)
Tl (0.467, 0.478, 0.490)
Tl (0.467, 0.977, 0.989)
Tl (0.749, 0.249, 0.500)
Tl (0.988, 0.478, 0.011)
Tl (0.988, 0.977, 0.510)

Largest 6 diffraction maxima, low angle first, 10° ≤ 2θ ≤ 90°:
| d [Å] | Rel. int. |
| --- | --- |
| 3.155 | 38 |
| 2.785 | 85 |
| 2.726 | 81 |
| 2.707 | 71 |
| 2.476 | 100 |
| 2.422 | 49 |

---

# 7
Diffraction record for La3TbN4. The XRD peak list is simulated, not measured: it uses DFT lattice parameters and positions (PBE) and CuKα.
Kinematic intensities with the Lorentz-polarization factor, no thermal factor.

Unit cell a=5.224 b=5.224 c=5.224 alpha=90.00 beta=90.00 gamma=90.00
Sites, in units of the cell vectors:
La (0.000, 0.000, 0.500)
La (0.000, 0.500, 0.000)
La (0.500, 0.000, 0.000)
Tb (0.500, 0.500, 0.500)
N (0.000, 0.000, 0.000)
N (0.000, 0.500, 0.500)
N (0.500, 0.000, 0.500)
N (0.500, 0.500, 0.000)

Largest 6 diffraction maxima, low angle first, 10° ≤ 2θ ≤ 90°:
| d [Å] | Rel. int. |
| --- | --- |
| 3.016 | 100 |
| 2.612 | 76 |
| 1.847 | 53 |
| 1.575 | 46 |
| 1.198 | 19 |
| 1.168 | 23 |

---

# 8
Diffraction record for Cd3As. The XRD peak list is simulated, not measured: it uses DFT lattice parameters and positions (PBE) and CuKα.
Kinematic intensities with the Lorentz-polarization factor, no thermal factor.

Unit cell a=5.427 b=5.427 c=3.070 alpha=90.00 beta=90.00 gamma=104.63
Sites, in units of the cell vectors:
Cd (0.000, 0.000, 0.000)
Cd (0.000, 0.500, 0.500)
Cd (0.500, 0.000, 0.500)
As (0.500, 0.500, 0.000)

Largest 6 diffraction maxima, low angle first, 10° ≤ 2θ ≤ 90°:
| d [Å] | Rel. int. |
| --- | --- |
| 2.626 | 100 |
| 2.497 | 86 |
| 2.253 | 64 |
| 2.147 | 27 |
| 1.555 | 38 |
| 1.382 | 25 |

---

# 9
Diffraction record for AcAlTe3. The XRD peak list is simulated, not measured: it uses DFT lattice parameters and positions (PBE) and CuKα.
Kinematic intensities with the Lorentz-polarization factor, no thermal factor.

Unit cell a=8.981 b=7.721 c=9.841 alpha=90.00 beta=90.00 gamma=90.00
Sites, in units of the cell vectors:
Ac (0.109, 0.038, 0.000)
Ac (0.391, 0.538, 0.500)
Ac (0.609, 0.462, 0.000)
Ac (0.891, 0.962, 0.500)
Al (0.086, 0.542, 0.227)
Al (0.414, 0.042, 0.727)
Al (0.586, 0.958, 0.227)
Al (0.914, 0.458, 0.727)
Te (0.040, 0.382, 0.485)
Te (0.186, 0.844, 0.304)
Te (0.187, 0.832, 0.697)
Te (0.313, 0.332, 0.197)
Te (0.314, 0.344, 0.804)
Te (0.460, 0.882, 0.985)
Te (0.540, 0.118, 0.485)
Te (0.686, 0.656, 0.304)
Te (0.687, 0.668, 0.697)
Te (0.813, 0.168, 0.197)
Te (0.814, 0.156, 0.804)
Te (0.960, 0.618, 0.985)

Largest 6 diffraction maxima, low angle first, 10° ≤ 2θ ≤ 90°:
| d [Å] | Rel. int. |
| --- | --- |
| 5.032 | 69 |
| 3.337 | 100 |
| 3.317 | 71 |
| 3.048 | 71 |
| 2.862 | 90 |
| 2.685 | 76 |

---

# 10
Diffraction record for Np2As2H. The XRD peak list is simulated, not measured: it uses DFT lattice parameters and positions (PBE) and CuKα.
Kinematic intensities with the Lorentz-polarization factor, no thermal factor.

Unit cell a=7.791 b=6.760 c=7.355 alpha=90.00 beta=90.01 gamma=90.00
Sites, in units of the cell vectors:
Np (0.119, 0.088, 0.250)
Np (0.119, 0.412, 0.750)
Np (0.370, 0.577, 0.250)
Np (0.370, 0.923, 0.750)
Np (0.630, 0.077, 0.250)
Np (0.630, 0.423, 0.750)
Np (0.881, 0.588, 0.250)
Np (0.881, 0.912, 0.750)
As (0.131, 0.750, 0.000)
As (0.131, 0.750, 0.500)
As (0.380, 0.250, 0.000)
As (0.380, 0.250, 0.500)
As (0.620, 0.750, 0.000)
As (0.620, 0.750, 0.500)
As (0.869, 0.250, 0.000)
As (0.869, 0.250, 0.500)
H (0.123, 0.084, 0.750)
H (0.123, 0.416, 0.250)
H (0.877, 0.584, 0.750)
H (0.877, 0.916, 0.250)

Largest 6 diffraction maxima, low angle first, 10° ≤ 2θ ≤ 90°:
| d [Å] | Rel. int. |
| --- | --- |
| 3.069 | 100 |
| 2.487 | 54 |
| 1.984 | 30 |
| 1.950 | 34 |
| 1.646 | 17 |
| 1.338 | 20 |

---

# 11
Diffraction record for SrPr2Ga6. The XRD peak list is simulated, not measured: it uses DFT lattice parameters and positions (PBE) and CuKα.
Kinematic intensities with the Lorentz-polarization factor, no thermal factor.

Unit cell a=7.484 b=7.484 c=4.457 alpha=90.00 beta=90.00 gamma=120.00
Sites, in units of the cell vectors:
Sr (0.000, 0.000, 0.000)
Pr (0.333, 0.667, 0.000)
Pr (0.667, 0.333, 0.000)
Ga (0.000, 0.336, 0.500)
Ga (0.000, 0.664, 0.500)
Ga (0.336, 0.000, 0.500)
Ga (0.336, 0.336, 0.500)
Ga (0.664, 0.000, 0.500)
Ga (0.664, 0.664, 0.500)

Largest 6 diffraction maxima, low angle first, 10° ≤ 2θ ≤ 90°:
| d [Å] | Rel. int. |
| --- | --- |
| 2.866 | 100 |
| 2.229 | 15 |
| 2.161 | 42 |
| 1.725 | 22 |
| 1.551 | 29 |
| 1.348 | 19 |

---

# 12
Diffraction record for YTeW. The XRD peak list is simulated, not measured: it uses DFT lattice parameters and positions (PBE) and CuKα.
Kinematic intensities with the Lorentz-polarization factor, no thermal factor.

Unit cell a=6.135 b=6.135 c=6.135 alpha=146.86 beta=146.86 gamma=47.58
Sites, in units of the cell vectors:
Y (0.000, 0.000, 0.000)
Te (0.289, 0.289, 0.000)
W (0.674, 0.674, 0.000)

Largest 6 diffraction maxima, low angle first, 10° ≤ 2θ ≤ 90°:
| d [Å] | Rel. int. |
| --- | --- |
| 5.614 | 31 |
| 2.556 | 100 |
| 2.475 | 55 |
| 1.890 | 17 |
| 1.750 | 19 |
| 1.444 | 34 |

---

# 13
Diffraction record for Y5Tm2. The XRD peak list is simulated, not measured: it uses DFT lattice parameters and positions (PBE) and CuKα.
Kinematic intensities with the Lorentz-polarization factor, no thermal factor.

Unit cell a=8.428 b=8.428 c=9.180 alpha=95.77 beta=95.77 gamma=43.71
Sites, in units of the cell vectors:
Y (0.026, 0.691, 0.036)
Y (0.120, 0.451, 0.679)
Y (0.169, 0.831, 0.750)
Y (0.309, 0.974, 0.464)
Y (0.451, 0.120, 0.179)
Y (0.549, 0.880, 0.821)
Y (0.691, 0.026, 0.536)
Y (0.831, 0.169, 0.250)
Y (0.880, 0.549, 0.321)
Y (0.974, 0.309, 0.964)
Tm (0.263, 0.595, 0.393)
Tm (0.405, 0.737, 0.107)
Tm (0.595, 0.263, 0.893)
Tm (0.737, 0.405, 0.607)

Largest 6 diffraction maxima, low angle first, 10° ≤ 2θ ≤ 90°:
| d [Å] | Rel. int. |
| --- | --- |
| 3.138 | 25 |
| 2.813 | 24 |
| 2.741 | 100 |
| 1.812 | 20 |
| 1.610 | 20 |
| 1.523 | 22 |